SbSBr3F6: computed powder XRD pattern (Cu Kα (weighted mean of Kα1 and Kα2)), based on a DFT-relaxed cell (PBE, the Materials Project).

Largest 8 diffraction maxima, in order of falling intensity, 2θ from 10° to 90°:
| 2theta | Rel. int. | (hkl) |
| --- | --- | --- |
| 19.71 | 100 | 1 1 2 |
| 25.51 | 78 | 1 2 2 |
| 23.96 | 46 | 2 1 1 |
| 20.92 | 35 | 2 0 0 |
| 29.89 | 32 | 1 0 4 |
| 18.53 | 24 | 0 2 0 |
| 45.53 | 22 | 2 2 5 |
| 31.33 | 22 | 0 3 2 |

Cell and atoms:
a = 8.493 Å, b = 9.575 Å, c = 12.779 Å
α = 90.00°, β = 90.00°, γ = 90.00°
Fractional coordinates of all 44 atoms:
Sb: 0.194 0.038 0.191
Sb: 0.306 0.962 0.691
Sb: 0.694 0.462 0.809
Sb: 0.806 0.538 0.309
S: 0.155 0.474 0.021
S: 0.345 0.526 0.521
S: 0.655 0.026 0.979
S: 0.845 0.974 0.479
Br: 0.137 0.502 0.621
Br: 0.150 0.670 0.934
Br: 0.217 0.319 0.902
Br: 0.283 0.681 0.402
Br: 0.350 0.330 0.434
Br: 0.363 0.498 0.121
Br: 0.637 0.998 0.379
Br: 0.650 0.830 0.066
Br: 0.717 0.181 0.098
Br: 0.783 0.819 0.598
Br: 0.850 0.170 0.566
Br: 0.863 0.002 0.879
F: 0.028 0.953 0.114
F: 0.066 0.046 0.315
F: 0.123 0.221 0.152
F: 0.133 0.881 0.770
F: 0.172 0.966 0.570
F: 0.229 0.144 0.732
F: 0.271 0.856 0.232
F: 0.328 0.034 0.070
F: 0.367 0.119 0.270
F: 0.377 0.779 0.652
F: 0.434 0.954 0.815
F: 0.472 0.047 0.614
F: 0.528 0.547 0.886
F: 0.566 0.454 0.685
F: 0.623 0.279 0.848
F: 0.633 0.619 0.230
F: 0.672 0.534 0.430
F: 0.729 0.356 0.268
F: 0.771 0.644 0.768
F: 0.828 0.466 0.930
F: 0.867 0.381 0.730
F: 0.877 0.721 0.348
F: 0.934 0.546 0.185
F: 0.972 0.453 0.386